# 1
Structure and computed powder diffractogram of Ga2SbPd5 (a structure optimized by DFT (GGA-PBE); λ = 1.5418 Å (Cu Kα)).
Neutral-atom scattering factors, no anomalous dispersion.

Structure:
```
Ga2SbPd5
1.0
-3.4392 3.4392 5.4513
3.4392 -3.4392 5.4513
3.4392 3.4392 -5.4513
Ga Sb Pd
4 2 10
direct
0.1432 0.6432 0.7865
0.3568 0.1432 0.5000
0.6432 0.8568 0.5000
0.8568 0.3568 0.2135
0.2500 0.2500 0.0000
0.7500 0.7500 0.0000
0.0000 0.0000 0.0000
0.0032 0.1960 0.5000
0.1960 0.6960 0.1928
0.3040 0.4968 0.5000
0.4968 0.9968 0.1928
0.5000 0.5000 0.0000
0.5032 0.0032 0.8072
0.6960 0.5032 0.5000
0.8040 0.3040 0.8072
0.9968 0.8040 0.5000
```

Principal peaks in the range 2θ = 10–90°, sorted by position:
d_spacing  2theta  Rel. int.
2.432  37.0  12.6
2.378  37.8  22.8
2.348  38.3  100.0
2.175  41.5  65.4
2.136  42.3  20.6
1.816  50.2  11.9
1.516  61.1  10.1
1.394  67.2  16.6
1.209  79.2  11.4
1.205  79.5  16.8

=====

# 2
Structure and computed powder diffractogram of Sc3Ga7Pd2 (a structure optimized by DFT (GGA-PBE); λ = 1.5418 Å (Cu Kα)).
Neutral-atom scattering factors, no anomalous dispersion.

Structure:
```
Sc3Ga7Pd2
1.0
4.0942 0.0000 0.0000
0.0000 3.9606 0.0000
-2.0372 0.0000 13.3379
Sc Ga Pd
3 7 2
direct
0.0000 0.0000 0.0000
0.3181 0.5000 0.6355
0.6819 0.5000 0.3645
0.0759 0.5000 0.1545
0.2253 0.0000 0.4503
0.4195 0.0000 0.8410
0.5000 0.5000 0.0000
0.5805 0.0000 0.1590
0.7747 0.0000 0.5497
0.9241 0.5000 0.8455
0.1356 0.0000 0.2683
0.8644 0.0000 0.7317
```

Principal peaks in the range 2θ = 10–90°, sorted by position:
d_spacing  2theta  Rel. int.
3.961  22.4  28.0
2.711  33.0  39.5
2.551  35.2  28.1
2.511  35.8  100.0
2.281  39.5  87.0
2.087  43.4  39.5
2.053  44.1  36.8
2.047  44.2  56.6
1.980  45.8  51.0
1.423  65.6  33.3

=====

# 3
Structure and computed powder diffractogram of Sc2Ga2Pd5 (a structure optimized by DFT (GGA-PBE); λ = 1.5418 Å (Cu Kα)).
Neutral-atom scattering factors, no anomalous dispersion.

Structure:
```
Sc2Ga2Pd5
1.0
-6.9580 3.6356 3.1345
6.9580 -3.6356 3.1345
6.9580 3.6356 -3.1345
Sc Ga Pd
4 4 10
direct
0.0324 0.1243 0.1567
0.0324 0.3757 0.4081
0.9676 0.6243 0.5919
0.9676 0.8757 0.8433
0.3438 0.6181 0.2257
0.3924 0.1181 0.7743
0.6195 0.1195 0.5000
0.6195 0.6195 0.0000
0.1050 0.2794 0.7856
0.1050 0.8194 0.3256
0.4644 0.0014 0.1526
0.4644 0.8119 0.9630
0.4938 0.3194 0.2144
0.4938 0.7794 0.6744
0.5012 0.4488 0.5524
0.8489 0.3119 0.8474
0.8489 0.5014 0.0370
0.8964 0.9488 0.4476
```

Principal peaks in the range 2θ = 10–90°, sorted by position:
d_spacing  2theta  Rel. int.
3.135  28.5  34.3
2.806  31.9  50.8
2.600  34.5  100.0
2.374  37.9  48.3
2.329  38.7  38.2
2.247  40.1  75.9
2.150  42.0  99.4
2.008  45.1  28.5
2.001  45.3  47.2
1.635  56.3  23.8